Diffraction record for NbV3Ru. The PXRD pattern is calculated, not measured: it uses a structure optimized by DFT (PBE) and CuKα.
Peak positions follow from Bragg's law for the DFT cell and can differ from measured ones.

Structural model:
```
data_NbV3Ru
_chemical_formula_sum 'Nb2 V6 Ru2'
_cell_length_a 2.7561
_cell_length_b 5.0123
_cell_length_c 10.7896
_cell_angle_alpha 83.36
_cell_angle_beta 85.20
_cell_angle_gamma 79.66
_space_group_name_H-M_alt 'P -1'
_space_group_IT_number 2
_space_group_name_Hall '-P 1'
loop_
_atom_site_label
_atom_site_fract_x
_atom_site_fract_y
_atom_site_fract_z
Nb1 0.0495 0.0431 0.3003
V1 0.1461 0.1574 0.9052
V2 0.2512 0.2639 0.4985
V3 0.4498 0.4512 0.7021
Ru1 0.3416 0.3438 0.0996
```

Principal peaks in the range 2θ from 10° to 80°, low angle first:
two_theta  intensity  hkl
40.8  100  1 -1 0
41.0  49  1 1 3
42.1  45  0 2 -2
42.3  45  0 0 5
42.5  44  0 2 3
60.4  30  -1 1 5